No. 1
The following is a calculated PXRD pattern of Ca2NdTaO6. It was derived from DFT lattice parameters and positions (PBE), using Cu Kα (λ = 1.5418 Å).
Peak positions follow from Bragg's law for the DFT cell and can differ from measured ones.

Atomic structure:
abc: 5.6513 5.9369 9.9402
angles: 90.00 124.35 90.00
Element x y z (fractional)
Ca 0.0000 0.1985 0.0000
Ca 0.0000 0.8015 0.5000
Ca 0.7714 0.2443 0.2555
Ca 0.7714 0.7557 0.7555
Nd 0.5454 0.3111 0.5118
Nd 0.5454 0.6889 0.0118
Ta 0.2721 0.2462 0.7568
Ta 0.2721 0.7538 0.2568
O 0.0201 0.4734 0.1817
O 0.0201 0.5266 0.6817
O 0.1671 0.1908 0.5278
O 0.1671 0.8092 0.0278
O 0.3809 0.3055 0.9844
O 0.3809 0.6945 0.4844
O 0.5119 0.0357 0.3297
O 0.5119 0.9643 0.8297
O 0.6092 0.4315 0.8089
O 0.6092 0.5685 0.3089
O 0.9236 0.0745 0.7004
O 0.9236 0.9255 0.2004

Top 12 peaks for 2θ = 15–90°, by angle:
| 2θ/deg | I (rel.) |
| --- | --- |
| 18.45 | 82 |
| 19.08 | 71 |
| 30.11 | 43 |
| 30.80 | 100 |
| 30.91 | 99 |
| 31.67 | 44 |
| 36.86 | 29 |
| 44.14 | 25 |
| 44.26 | 41 |
| 53.94 | 28 |
| 55.79 | 24 |
| 56.00 | 23 |

---

No. 2
The following is a calculated PXRD pattern of CaNdTc2O8. It was derived from DFT lattice parameters and positions (PBE), using Cu Kα (λ = 1.5418 Å).
Peak positions follow from Bragg's law for the DFT cell and can differ from measured ones.

Atomic structure:
abc: 6.9293 6.9293 6.9293
angles: 135.02 135.02 65.49
Element x y z (fractional)
Ca 0.0000 0.0000 0.0000
Nd 0.7500 0.2500 0.5000
Tc 0.2500 0.7500 0.5000
Tc 0.5000 0.5000 0.0000
O 0.0153 0.9214 0.5983
O 0.0786 0.6770 0.0939
O 0.1674 0.2659 0.5967
O 0.3230 0.4169 0.4017
O 0.4294 0.8326 0.0986
O 0.5831 0.9847 0.9061
O 0.6692 0.5706 0.4033
O 0.7341 0.3308 0.9014

Top 12 peaks for 2θ = 15–90°, by angle:
| 2θ/deg | I (rel.) |
| --- | --- |
| 18.39 | 10 |
| 28.31 | 100 |
| 30.68 | 14 |
| 33.82 | 18 |
| 46.31 | 30 |
| 48.58 | 13 |
| 53.10 | 17 |
| 57.18 | 28 |
| 58.56 | 11 |
| 74.28 | 8 |
| 74.81 | 12 |
| 89.20 | 7 |

---

What did the first record say?
The following is a calculated PXRD pattern of Ca2NdTaO6. It was derived from DFT lattice parameters and positions (PBE), using Cu Kα (λ = 1.5418 Å).
Peak positions follow from Bragg's law for the DFT cell and can differ from measured ones.

Atomic structure:
abc: 5.6513 5.9369 9.9402
angles: 90.00 124.35 90.00
Element x y z (fractional)
Ca 0.0000 0.1985 0.0000
Ca 0.0000 0.8015 0.5000
Ca 0.7714 0.2443 0.2555
Ca 0.7714 0.7557 0.7555
Nd 0.5454 0.3111 0.5118
Nd 0.5454 0.6889 0.0118
Ta 0.2721 0.2462 0.7568
Ta 0.2721 0.7538 0.2568
O 0.0201 0.4734 0.1817
O 0.0201 0.5266 0.6817
O 0.1671 0.1908 0.5278
O 0.1671 0.8092 0.0278
O 0.3809 0.3055 0.9844
O 0.3809 0.6945 0.4844
O 0.5119 0.0357 0.3297
O 0.5119 0.9643 0.8297
O 0.6092 0.4315 0.8089
O 0.6092 0.5685 0.3089
O 0.9236 0.0745 0.7004
O 0.9236 0.9255 0.2004

Top 12 peaks for 2θ = 15–90°, by angle:
| 2θ/deg | I (rel.) |
| --- | --- |
| 18.45 | 82 |
| 19.08 | 71 |
| 30.11 | 43 |
| 30.80 | 100 |
| 30.91 | 99 |
| 31.67 | 44 |
| 36.86 | 29 |
| 44.14 | 25 |
| 44.26 | 41 |
| 53.94 | 28 |
| 55.79 | 24 |
| 56.00 | 23 |